# 1
Computed XRD peak list of K2Ca2C3O9 for Cu Ka, from DFT lattice parameters and positions (PBE).

Top 10 peaks for 5° ≤ 2θ ≤ 70°, in order of rising 2θ:
- 2θ = 29.1°, rel. 78, hkl 3 -2 2
- 2θ = 30.0°, rel. 100, hkl 4 -3 1
- 2θ = 33.6°, rel. 32, hkl 1 1 3
- 2θ = 34.9°, rel. 46, hkl 3 1 2
- 2θ = 36.0°, rel. 45, hkl 1 4 0
- 2θ = 38.9°, rel. 18, hkl 3 0 3
- 2θ = 40.1°, rel. 15, hkl 5 -3 2
- 2θ = 46.9°, rel. 20, hkl 4 2 2
- 2θ = 48.0°, rel. 34, hkl 5 -4 3
- 2θ = 49.8°, rel. 17, hkl 2 5 0

a = 13.2141 Å, b = 13.2141 Å, c = 8.7336 Å
α = 90.00°, β = 90.00°, γ = 120.00°
Space group R3 (No. 146, hexagonal axes)
One atom of each set of equivalent atoms:
K (0.0000, 0.0000, 0.0000) (multiplicity 3)
K (0.0203, 0.5829, 0.7530) (multiplicity 9)
Ca (0.0000, 0.0000, 0.4235) (multiplicity 3)
Ca (0.0601, 0.4566, 0.3025) (multiplicity 9)
C (0.1422, 0.4716, 0.9266) (multiplicity 9)
C (0.1926, 0.1400, 0.7436) (multiplicity 9)
O (0.0011, 0.2741, 0.1728) (multiplicity 9)
O (0.0378, 0.7969, 0.7747) (multiplicity 9)
O (0.0699, 0.2184, 0.3723) (multiplicity 9)
O (0.1624, 0.0797, 0.2339) (multiplicity 9)
O (0.1619, 0.0957, 0.6065) (multiplicity 9)
O (0.2026, 0.4554, 0.5136) (multiplicity 9)



# 2
Computed XRD peak list of Fe3Pt for Cu Ka, from DFT lattice parameters and positions (PBE).

Top 10 peaks for 5° ≤ 2θ ≤ 70°, in order of rising 2θ:
- 2θ = 10.7°, rel. 83, hkl 0 0 3
- 2θ = 21.6°, rel. 22, hkl 0 0 6
- 2θ = 32.6°, rel. 12, hkl 0 0 9
- 2θ = 38.3°, rel. 17, hkl 1 0 1
- 2θ = 38.9°, rel. 15, hkl 0 1 2
- 2θ = 41.0°, rel. 100, hkl 1 0 4
- 2θ = 42.5°, rel. 15, hkl 0 1 5
- 2θ = 44.0°, rel. 26, hkl 0 0 12
- 2θ = 48.6°, rel. 60, hkl 0 1 8
- 2θ = 69.0°, rel. 20, hkl 1 1 0

a = 2.7228 Å, b = 2.7228 Å, c = 24.7176 Å
α = 90.00°, β = 90.00°, γ = 120.00°
Space group R-3m (No. 166, hexagonal axes)
One atom of each set of equivalent atoms:
Fe (0.0000, 0.0000, 0.0000) (multiplicity 3)
Fe (0.0000, 0.0000, 0.2547) (multiplicity 6)
Pt (0.0000, 0.0000, 0.5000) (multiplicity 3)



# 3
Computed XRD peak list of Hf3Ge for Cu Ka, from DFT lattice parameters and positions (PBE).

Top 10 peaks for 5° ≤ 2θ ≤ 70°, in order of rising 2θ:
- 2θ = 19.1°, rel. 3, hkl 0 0 2
- 2θ = 23.3°, rel. 8, hkl 1 0 1
- 2θ = 36.0°, rel. 100, hkl 1 1 2
- 2θ = 36.1°, rel. 3, hkl 1 0 3
- 2θ = 38.8°, rel. 20, hkl 0 0 4
- 2θ = 43.2°, rel. 30, hkl 2 0 0
- 2θ = 49.7°, rel. 2, hkl 2 1 1
- 2θ = 59.5°, rel. 24, hkl 2 0 4
- 2θ = 62.8°, rel. 10, hkl 2 2 0
- 2θ = 68.5°, rel. 15, hkl 1 1 6

a = 4.188 Å, b = 4.188 Å, c = 9.276 Å
α = 90.00°, β = 90.00°, γ = 90.00°
Space group I4/mmm (No. 139)
One atom of each set of equivalent atoms:
Hf (0.000, 0.000, 0.000) (multiplicity 2)
Hf (0.000, 0.500, 0.250) (multiplicity 4)
Ge (0.000, 0.000, 0.500) (multiplicity 2)



# 4
Computed XRD peak list of CsLaMg6 for Cu Ka, from DFT lattice parameters and positions (PBE).

Top 10 peaks for 5° ≤ 2θ ≤ 70°, in order of rising 2θ:
- 2θ = 13.3°, rel. 38, hkl 0 0 2
- 2θ = 17.7°, rel. 49, hkl 1 0 0
- 2θ = 22.2°, rel. 47, hkl 1 0 2
- 2θ = 22.7°, rel. 33, hkl 0 2 0
- 2θ = 23.1°, rel. 40, hkl 0 1 3
- 2θ = 26.4°, rel. 43, hkl 0 2 2
- 2θ = 29.2°, rel. 100, hkl 1 1 3
- 2θ = 32.0°, rel. 90, hkl 1 2 2
- 2θ = 35.7°, rel. 35, hkl 0 1 5
- 2θ = 35.9°, rel. 32, hkl 2 0 0

a = 5.001 Å, b = 7.850 Å, c = 13.289 Å
α = 90.00°, β = 90.00°, γ = 90.00°
Space group Amm2 (No. 38)
One atom of each set of equivalent atoms:
Cs (0.000, 0.000, 0.000) (multiplicity 2)
La (0.000, 0.000, 0.600) (multiplicity 2)
Mg (0.000, 0.195, 0.297) (multiplicity 4)
Mg (0.500, 0.000, 0.402) (multiplicity 2)
Mg (0.500, 0.000, 0.789) (multiplicity 2)
Mg (0.500, 0.201, 0.167) (multiplicity 4)



# 5
Computed XRD peak list of K4Pb2Br8O for Cu Ka, from DFT lattice parameters and positions (PBE).

Top 10 peaks for 5° ≤ 2θ ≤ 70°, in order of rising 2θ:
- 2θ = 12.3°, rel. 100, hkl 0 1 -1
- 2θ = 23.6°, rel. 31, hkl 1 1 1
- 2θ = 23.6°, rel. 31, hkl 1 1 -1
- 2θ = 24.7°, rel. 18, hkl 0 0 4
- 2θ = 29.5°, rel. 19, hkl 1 2 0
- 2θ = 30.2°, rel. 16, hkl -1 2 1
- 2θ = 32.1°, rel. 45, hkl 1 -2 2
- 2θ = 38.8°, rel. 16, hkl 1 -1 5
- 2θ = 38.9°, rel. 21, hkl 1 1 -5
- 2θ = 40.7°, rel. 19, hkl 2 0 0

a = 4.431 Å, b = 8.277 Å, c = 14.419 Å
α = 89.61°, β = 89.63°, γ = 89.91°
Space group P-1 (No. 2)
One atom of each set of equivalent atoms:
K (0.020, 0.087, 0.327) (multiplicity 2)
K (0.034, 0.586, 0.169) (multiplicity 2)
Pb (0.500, 0.000, 0.000) (multiplicity 1)
Pb (0.500, 0.500, 0.500) (multiplicity 1)
Br (0.004, 0.248, 0.043) (multiplicity 2)
Br (0.006, 0.751, 0.459) (multiplicity 2)
Br (0.479, 0.619, 0.698) (multiplicity 2)
Br (0.484, 0.114, 0.802) (multiplicity 2)
O (0.500, 0.500, 0.000) (multiplicity 1)



# 6
Computed XRD peak list of NiP3 for Cu Ka, from DFT lattice parameters and positions (PBE).

Top 10 peaks for 5° ≤ 2θ ≤ 70°, in order of rising 2θ:
- 2θ = 16.0°, rel. 22, hkl 1 1 0
- 2θ = 22.7°, rel. 69, hkl 2 0 0
- 2θ = 27.9°, rel. 11, hkl 2 1 1
- 2θ = 32.4°, rel. 67, hkl 2 2 0
- 2θ = 36.3°, rel. 86, hkl 3 0 1
- 2θ = 39.9°, rel. 33, hkl 2 2 2
- 2θ = 43.3°, rel. 17, hkl 3 1 2
- 2θ = 52.3°, rel. 100, hkl 4 2 0
- 2θ = 57.7°, rel. 53, hkl 4 2 2
- 2θ = 60.3°, rel. 34, hkl 4 3 1

a = 7.824 Å, b = 7.824 Å, c = 7.824 Å
α = 90.00°, β = 90.00°, γ = 90.00°
Space group Im-3 (No. 204)
One atom of each set of equivalent atoms:
Ni (0.250, 0.250, 0.250) (multiplicity 8)
P (0.000, 0.356, 0.143) (multiplicity 24)



# 7
Computed XRD peak list of OsClF8 for Cu Ka, from DFT lattice parameters and positions (PBE).

Top 10 peaks for 5° ≤ 2θ ≤ 70°, in order of rising 2θ:
- 2θ = 14.4°, rel. 38, hkl 0 0 1
- 2θ = 15.7°, rel. 77, hkl 1 0 0
- 2θ = 21.0°, rel. 35, hkl 0 1 -1
- 2θ = 21.2°, rel. 33, hkl 1 0 -1
- 2θ = 21.6°, rel. 100, hkl 1 -1 0
- 2θ = 22.9°, rel. 23, hkl 1 1 0
- 2θ = 29.0°, rel. 13, hkl 0 0 2
- 2θ = 36.3°, rel. 23, hkl 1 -1 2
- 2θ = 36.6°, rel. 15, hkl -1 1 2
- 2θ = 37.7°, rel. 11, hkl -2 1 1

a = 5.652 Å, b = 5.677 Å, c = 6.155 Å
α = 91.61°, β = 90.78°, γ = 93.35°
Space group P1 (No. 1)
One atom of each set of equivalent atoms:
Os (0.000, 0.000, 0.000) (multiplicity 1)
Cl (0.500, 0.501, 0.560) (multiplicity 1)
F (0.180, 0.856, 0.211) (multiplicity 1)
F (0.185, 0.874, 0.780) (multiplicity 1)
F (0.209, 0.269, 0.007) (multiplicity 1)
F (0.248, 0.320, 0.503) (multiplicity 1)
F (0.749, 0.685, 0.516) (multiplicity 1)
F (0.791, 0.731, 0.990) (multiplicity 1)
F (0.815, 0.130, 0.217) (multiplicity 1)
F (0.820, 0.142, 0.787) (multiplicity 1)



# 8
Computed XRD peak list of SbC6S2F19 for Cu Ka, from DFT lattice parameters and positions (PBE).

Top 10 peaks for 5° ≤ 2θ ≤ 70°, in order of rising 2θ:
- 2θ = 10.1°, rel. 49, hkl 1 1 0
- 2θ = 16.0°, rel. 100, hkl 1 1 1
- 2θ = 18.5°, rel. 45, hkl 1 1 -2
- 2θ = 18.9°, rel. 65, hkl 3 1 -1
- 2θ = 19.4°, rel. 69, hkl 2 2 -1
- 2θ = 23.9°, rel. 27, hkl 4 0 -2
- 2θ = 24.0°, rel. 32, hkl 1 3 0
- 2θ = 27.3°, rel. 49, hkl 3 1 1
- 2θ = 37.0°, rel. 42, hkl 2 4 1
- 2θ = 39.8°, rel. 34, hkl 6 0 -4

a = 15.405 Å, b = 11.562 Å, c = 10.697 Å
α = 90.00°, β = 119.76°, γ = 90.00°
Space group Cc (No. 9)
One atom of each set of equivalent atoms:
Sb (0.000, 0.159, 0.000) (multiplicity 4)
C (0.163, 0.422, 0.783) (multiplicity 4)
C (0.194, 0.190, 0.495) (multiplicity 4)
C (0.240, 0.319, 0.834) (multiplicity 4)
C (0.259, 0.183, 0.664) (multiplicity 4)
C (0.303, 0.311, 0.002) (multiplicity 4)
C (0.334, 0.079, 0.713) (multiplicity 4)
S (0.187, 0.174, 0.762) (multiplicity 4)
S (0.321, 0.319, 0.752) (multiplicity 4)
F (0.077, 0.157, 0.901) (multiplicity 4)
F (0.077, 0.202, 0.642) (multiplicity 4)
F (0.086, 0.274, 0.130) (multiplicity 4)
F (0.087, 0.039, 0.129) (multiplicity 4)
F (0.093, 0.403, 0.821) (multiplicity 4)
F (0.117, 0.435, 0.639) (multiplicity 4)
F (0.131, 0.098, 0.443) (multiplicity 4)
F (0.139, 0.287, 0.455) (multiplicity 4)
F (0.213, 0.480, 0.346) (multiplicity 4)
F (0.245, 0.311, 0.063) (multiplicity 4)
F (0.254, 0.190, 0.438) (multiplicity 4)
F (0.287, 0.022, 0.153) (multiplicity 4)
F (0.357, 0.211, 0.038) (multiplicity 4)
F (0.367, 0.401, 0.053) (multiplicity 4)
F (0.378, 0.067, 0.859) (multiplicity 4)
F (0.405, 0.099, 0.679) (multiplicity 4)
F (0.414, 0.225, 0.369) (multiplicity 4)
F (0.415, 0.461, 0.372) (multiplicity 4)
F (0.424, 0.343, 0.599) (multiplicity 4)



# 9
Computed XRD peak list of Ho3Ni13B2 for Cu Ka, from DFT lattice parameters and positions (PBE).

Top 10 peaks for 5° ≤ 2θ ≤ 70°, in order of rising 2θ:
- 2θ = 20.9°, rel. 9, hkl 1 0 0
- 2θ = 32.5°, rel. 78, hkl 1 0 3
- 2θ = 36.6°, rel. 33, hkl 1 1 0
- 2θ = 41.6°, rel. 9, hkl 0 0 5
- 2θ = 42.6°, rel. 59, hkl 2 0 0
- 2θ = 44.6°, rel. 100, hkl 1 1 3
- 2θ = 50.4°, rel. 15, hkl 0 0 6
- 2θ = 63.4°, rel. 23, hkl 2 1 3
- 2θ = 63.9°, rel. 15, hkl 1 1 6
- 2θ = 68.0°, rel. 16, hkl 2 0 6

a = 4.9064 Å, b = 4.9064 Å, c = 10.8654 Å
α = 90.00°, β = 90.00°, γ = 120.00°
Space group P6/mmm (No. 191)
One atom of each set of equivalent atoms:
Ho (0.0000, 0.0000, 0.0000) (multiplicity 1)
Ho (0.0000, 0.0000, 0.3295) (multiplicity 2)
Ni (0.0000, 0.5000, 0.1342) (multiplicity 6)
Ni (0.0000, 0.5000, 0.5000) (multiplicity 3)
Ni (0.3333, 0.6667, 0.3191) (multiplicity 4)
B (0.3333, 0.6667, 0.0000) (multiplicity 2)



# 10
Computed XRD peak list of SiO2 for Cu Ka, from DFT lattice parameters and positions (PBE).

Top 10 peaks for 5° ≤ 2θ ≤ 70°, in order of rising 2θ:
- 2θ = 9.2°, rel. 100, hkl 0 2 0
- 2θ = 11.7°, rel. 23, hkl 0 0 2
- 2θ = 12.1°, rel. 88, hkl 1 1 1
- 2θ = 14.9°, rel. 75, hkl 0 2 2
- 2θ = 17.7°, rel. 67, hkl 1 3 1
- 2θ = 18.4°, rel. 23, hkl 0 4 0
- 2θ = 19.0°, rel. 81, hkl 2 0 0
- 2θ = 25.4°, rel. 48, hkl 0 2 4
- 2θ = 25.6°, rel. 23, hkl 1 5 1
- 2θ = 30.2°, rel. 25, hkl 0 6 2

a = 9.328 Å, b = 19.326 Å, c = 15.083 Å
α = 90.00°, β = 90.00°, γ = 90.00°
Space group Fmm2 (No. 42)
One atom of each set of equivalent atoms:
Si (0.168, 0.082, 0.000) (multiplicity 16)
Si (0.170, 0.181, 0.160) (multiplicity 16)
Si (0.173, 0.179, 0.364) (multiplicity 16)
O (0.000, 0.097, 0.976) (multiplicity 8)
O (0.000, 0.186, 0.374) (multiplicity 8)
O (0.000, 0.197, 0.156) (multiplicity 8)
O (0.200, 0.000, 0.005) (multiplicity 8)
O (0.208, 0.116, 0.096) (multiplicity 16)
O (0.217, 0.163, 0.261) (multiplicity 16)
O (0.230, 0.115, 0.424) (multiplicity 16)
O (0.250, 0.250, 0.124) (multiplicity 8)
O (0.250, 0.250, 0.397) (multiplicity 8)



# 11
Computed XRD peak list of Tb3Co2Ge3 for Cu Ka, from DFT lattice parameters and positions (PBE).

Top 10 peaks for 5° ≤ 2θ ≤ 70°, in order of rising 2θ:
- 2θ = 33.3°, rel. 14, hkl 1 3 0
- 2θ = 34.0°, rel. 68, hkl 0 4 0
- 2θ = 34.5°, rel. 100, hkl 1 1 4
- 2θ = 36.2°, rel. 18, hkl 0 2 5
- 2θ = 38.5°, rel. 20, hkl 0 0 6
- 2θ = 38.6°, rel. 40, hkl 1 3 3
- 2θ = 39.2°, rel. 18, hkl 0 4 3
- 2θ = 42.4°, rel. 24, hkl 1 3 4
- 2θ = 43.5°, rel. 36, hkl 2 0 0
- 2θ = 65.8°, rel. 16, hkl 1 7 0

a = 4.159 Å, b = 10.562 Å, c = 14.032 Å
α = 90.00°, β = 90.00°, γ = 90.00°
Space group Cmcm (No. 63)
One atom of each set of equivalent atoms:
Tb (0.000, 0.082, 0.109) (multiplicity 8)
Tb (0.000, 0.359, 0.250) (multiplicity 4)
Co (0.000, 0.212, 0.594) (multiplicity 8)
Ge (0.000, 0.337, 0.750) (multiplicity 4)
Ge (0.000, 0.372, 0.040) (multiplicity 8)